Entry 1:
Ce4USe10: theoretical PXRD pattern (copper Kα), based on a PBE-relaxed structure.
Lines closer than 0.1° are merged.

The 10 most intense peaks (15° ≤ 2θ ≤ 90°), sorted by position:
- hkl 1 0 1, 2θ = 15.23°, I 2
- hkl 2 1 1, 2θ = 22.39°, I 60
- hkl 4 2 0, 2θ = 36.96°, I 100
- hkl 5 0 1, 2θ = 43.64°, I 31
- hkl 2 6 0, 2θ = 53.27°, I 17
- hkl 6 3 1, 2θ = 58.49°, I 13
- hkl 7 1 2, 2θ = 66.60°, I 35
- hkl 6 3 3, 2θ = 71.23°, I 10
- hkl 8 4 0, 2θ = 78.69°, I 11
- hkl 9 2 1, 2θ = 83.06°, I 10

Structural model:
Cell: 10.872 10.872 6.884 Å, 90.00 90.00 90.00°
Space group I4/m (No. 87)
Symmetry-distinct sites (fractional):
Ce: 0.099 0.300 0.000 x8
U: 0.000 0.000 0.500 x2
Se: 0.000 0.500 0.250 x4
Se: 0.099 0.804 0.255 x16

=====

Entry 2:
MnGaSiRhSe: theoretical PXRD pattern (copper Kα), based on a PBE-relaxed structure.
Lines closer than 0.1° are merged.

The 10 most intense peaks (15° ≤ 2θ ≤ 90°), sorted by position:
- hkl 2 0 0, 2θ = 15.07°, I 41
- hkl 4 0 0, 2θ = 30.40°, I 51
- hkl 1 1 -1, 2θ = 36.40°, I 89
- hkl 2 0 -2, 2θ = 39.88°, I 31
- hkl 3 1 -1, 2θ = 41.25°, I 44
- hkl 3 1 1, 2θ = 45.19°, I 100
- hkl 4 0 -2, 2θ = 45.92°, I 20
- hkl 6 0 0, 2θ = 46.32°, I 23
- hkl 5 1 -1, 2θ = 50.95°, I 19
- hkl 1 1 3, 2θ = 71.68°, I 21

Structural model:
Cell: 11.949 2.945 4.623 Å, 90.00 100.17 90.00°
Space group Cm (No. 8)
Symmetry-distinct sites (fractional):
Mn: 0.000 0.000 0.000 x2
Ga: 0.027 0.500 0.480 x2
Si: 0.161 0.500 0.002 x2
Rh: 0.317 0.000 0.183 x2
Se: 0.313 0.500 0.653 x2

=====

Entry 3:
NbAlPd4: theoretical PXRD pattern (copper Kα), based on a PBE-relaxed structure.
Lines closer than 0.1° are merged.

The 10 most intense peaks (15° ≤ 2θ ≤ 90°), sorted by position:
- hkl 0 2 1, 2θ = 39.23°, I 53
- hkl 1 -2 2, 2θ = 39.39°, I 52
- hkl 2 0 0, 2θ = 39.85°, I 100
- hkl 1 2 -2, 2θ = 43.52°, I 77
- hkl 1 0 3, 2θ = 50.75°, I 25
- hkl 2 2 1, 2θ = 68.93°, I 19
- hkl 0 2 -5, 2θ = 69.14°, I 19
- hkl 1 4 -1, 2θ = 76.60°, I 14
- hkl 0 4 -4, 2θ = 76.81°, I 14
- hkl 3 2 -2, 2θ = 77.70°, I 14

Structural model:
Cell: 4.947 5.947 7.093 Å, 101.91 101.80 107.41°
Space group P-1 (No. 2)
Symmetry-distinct sites (fractional):
Nb: 0.247 0.125 0.249 x2
Al: 0.254 0.628 0.259 x2
Pd: 0.229 0.298 0.919 x2
Pd: 0.248 0.787 0.924 x2
Pd: 0.260 0.461 0.576 x2
Pd: 0.263 0.966 0.586 x2

=====

Entry 4:
ErCu2Pd8: theoretical PXRD pattern (copper Kα), based on a PBE-relaxed structure.
Lines closer than 0.1° are merged.

The 10 most intense peaks (15° ≤ 2θ ≤ 90°), sorted by position:
- hkl 5 1 -1, 2θ = 39.34°, I 100
- hkl 0 2 0, 2θ = 44.98°, I 17
- hkl 4 0 -3, 2θ = 45.13°, I 17
- hkl 6 0 1, 2θ = 47.09°, I 14
- hkl 4 2 -3, 2θ = 65.62°, I 11
- hkl 6 2 1, 2θ = 67.19°, I 14
- hkl 5 3 -1, 2θ = 79.16°, I 13
- hkl 9 1 -4, 2θ = 79.37°, I 12
- hkl 11 1 0, 2θ = 82.24°, I 10
- hkl 10 2 -2, 2θ = 84.63°, I 10

Structural model:
Cell: 14.091 4.031 6.329 Å, 90.00 106.99 90.00°
Space group C2/m (No. 12)
Symmetry-distinct sites (fractional):
Er: 0.000 0.000 0.000 x2
Cu: 0.228 0.500 0.641 x4
Pd: 0.049 0.500 0.725 x4
Pd: 0.098 0.000 0.468 x4
Pd: 0.144 0.500 0.205 x4
Pd: 0.185 0.000 0.918 x4

=====

Entry 5:
La2In3Cu: theoretical PXRD pattern (copper Kα), based on a PBE-relaxed structure.
Lines closer than 0.1° are merged.

The 10 most intense peaks (15° ≤ 2θ ≤ 90°), sorted by position:
- hkl 1 1 1, 2θ = 31.13°, I 100
- hkl 0 1 3, 2θ = 36.76°, I 42
- hkl 0 2 0, 2θ = 36.91°, I 22
- hkl 2 0 0, 2θ = 46.39°, I 11
- hkl 1 0 4, 2θ = 48.85°, I 9
- hkl 1 2 2, 2θ = 49.01°, I 18
- hkl 2 1 3, 2θ = 60.60°, I 19
- hkl 2 2 0, 2θ = 60.70°, I 10
- hkl 1 2 4, 2θ = 62.77°, I 8
- hkl 1 3 1, 2θ = 62.94°, I 9

Structural model:
Cell: 3.915 4.870 8.481 Å, 90.00 90.00 90.00°
Space group Pmm2 (No. 25)
Symmetry-distinct sites (fractional):
La: 0.000 0.000 0.000 x1
La: 0.000 0.500 0.480 x1
In: 0.500 0.000 0.637 x1
In: 0.500 0.500 0.168 x1
In: 0.500 0.500 0.823 x1
Cu: 0.500 0.000 0.316 x1

=====

Entry 6:
Ac3In5: theoretical PXRD pattern (copper Kα), based on a PBE-relaxed structure.
Lines closer than 0.1° are merged.

The 10 most intense peaks (15° ≤ 2θ ≤ 90°), sorted by position:
- hkl 1 3 3, 2θ = 25.41°, I 31
- hkl 2 0 2, 2θ = 28.41°, I 100
- hkl 1 3 5, 2θ = 34.93°, I 33
- hkl 2 6 0, 2θ = 36.79°, I 43
- hkl 3 3 3, 2θ = 45.25°, I 12
- hkl 1 3 7, 2θ = 45.99°, I 9
- hkl 1 9 5, 2θ = 51.61°, I 10
- hkl 3 3 5, 2θ = 51.66°, I 9
- hkl 4 6 2, 2θ = 61.24°, I 18
- hkl 0 6 10, 2θ = 67.72°, I 14

Structural model:
Cell: 6.904 20.742 15.101 Å, 90.00 90.00 90.00°
Space group Fdd2 (No. 43)
Symmetry-distinct sites (fractional):
Ac: 0.000 0.000 0.000 x8
Ac: 0.000 0.178 0.500 x16
In: 0.000 0.000 0.500 x8
In: 0.035 0.167 0.905 x16
In: 0.036 0.334 0.595 x16

=====

Number 5 is which compound?
La2In3Cu